1.
K4Ni7As6O24: theoretical PXRD pattern (Cu Kα), based on a PBE+U-relaxed structure.
Neutral-atom scattering factors, no anomalous dispersion.

Structural model:
a = 9.2309 Å, b = 9.2309 Å, c = 6.8497 Å
α = 98.72°, β = 98.72°, γ = 105.94°
Sites, in units of the cell vectors:
K 0.0000 0.0000 0.0000
K 0.1987 0.4288 0.9871
K 0.4288 0.1987 0.9871
K 0.6306 0.6306 0.9383
Ni 0.0617 0.6849 0.2868
Ni 0.0778 0.3259 0.4658
Ni 0.3259 0.0778 0.4658
Ni 0.3361 0.7265 0.6375
Ni 0.6849 0.0617 0.2868
Ni 0.6976 0.6976 0.4559
Ni 0.7265 0.3361 0.6375
As 0.0084 0.0084 0.5011
As 0.3959 0.3959 0.4449
As 0.4152 0.8064 0.1858
As 0.6066 0.9812 0.7339
As 0.8064 0.4152 0.1858
As 0.9812 0.6066 0.7339
O 0.0016 0.4286 0.2365
O 0.0332 0.6969 0.9799
O 0.1048 0.7008 0.5968
O 0.1095 0.9208 0.3501
O 0.1550 0.1550 0.6668
O 0.2456 0.2456 0.2880
O 0.2930 0.7066 0.3215
O 0.2964 0.4884 0.5912
O 0.3621 0.7111 0.9417
O 0.4110 0.9740 0.6867
O 0.4286 0.0016 0.2365
O 0.4884 0.2964 0.5912
O 0.5046 0.5046 0.3094
O 0.5768 0.7847 0.6525
O 0.6099 0.8231 0.2635
O 0.6969 0.0332 0.9799
O 0.7008 0.1048 0.5968
O 0.7066 0.2930 0.3215
O 0.7111 0.3621 0.9417
O 0.7847 0.5768 0.6525
O 0.8231 0.6099 0.2635
O 0.8862 0.8862 0.6064
O 0.9208 0.1095 0.3501
O 0.9740 0.4110 0.6867

Main lines, in order of rising 2θ (2θ = 15–90°):
19.87 deg, I 36; 29.55 deg, I 91; 30.87 deg, I 88; 31.47 deg, I 46; 31.89 deg, I 100; 32.62 deg, I 36; 36.28 deg, I 44; 36.58 deg, I 25; 51.61 deg, I 26; 63.12 deg, I 45

***

2.
KNiAsO4: theoretical PXRD pattern (Cu Kα), based on a PBE+U-relaxed structure.
Neutral-atom scattering factors, no anomalous dispersion.

Structural model:
a = 10.0794 Å, b = 10.0794 Å, c = 10.0794 Å
α = 29.09°, β = 29.09°, γ = 29.09°
Sites, in units of the cell vectors:
K 0.2110 0.2110 0.2110
K 0.7890 0.7890 0.7890
Ni 0.3349 0.3349 0.3349
Ni 0.6651 0.6651 0.6651
As 0.0604 0.0604 0.0604
As 0.9396 0.9396 0.9396
O 0.0360 0.7170 0.3722
O 0.1192 0.1192 0.1192
O 0.2830 0.6278 0.9640
O 0.3722 0.0360 0.7170
O 0.6278 0.9640 0.2830
O 0.7170 0.3722 0.0360
O 0.8808 0.8808 0.8808
O 0.9640 0.2830 0.6278

Main lines, in order of rising 2θ (2θ = 15–90°):
20.49 deg, I 54; 29.70 deg, I 98; 32.08 deg, I 48; 35.46 deg, I 100; 39.97 deg, I 19; 46.91 deg, I 27; 60.16 deg, I 25; 60.32 deg, I 37; 63.68 deg, I 30; 69.23 deg, I 20

***

3.
KNiAs2O6: theoretical PXRD pattern (Cu Kα), based on a PBE+U-relaxed structure.
Neutral-atom scattering factors, no anomalous dispersion.

Structural model:
a = 7.5515 Å, b = 7.5515 Å, c = 6.4537 Å
α = 109.24°, β = 109.24°, γ = 84.80°
Sites, in units of the cell vectors:
K 0.1226 0.8774 0.7500
K 0.8774 0.1226 0.2500
Ni 0.2391 0.7609 0.2500
Ni 0.7609 0.2391 0.7500
As 0.2148 0.3694 0.8679
As 0.3694 0.2148 0.3679
As 0.6306 0.7852 0.6321
As 0.7852 0.6306 0.1321
O 0.0160 0.2305 0.7100
O 0.1653 0.6038 0.9232
O 0.2305 0.0160 0.2100
O 0.3146 0.3601 0.1769
O 0.3601 0.3146 0.6769
O 0.3962 0.8347 0.5768
O 0.6038 0.1653 0.4232
O 0.6399 0.6854 0.3231
O 0.6854 0.6399 0.8231
O 0.7695 0.9840 0.7900
O 0.8347 0.3962 0.0768
O 0.9840 0.7695 0.2900

Main lines, in order of rising 2θ (2θ = 15–90°):
16.39 deg, I 76; 23.29 deg, I 32; 24.82 deg, I 100; 24.98 deg, I 79; 28.22 deg, I 53; 29.44 deg, I 42; 33.81 deg, I 41; 35.53 deg, I 24; 36.00 deg, I 33; 50.64 deg, I 33